For VP2H4NO7, a crystal structure in the Materials Project, relaxed with PBE+U gives the calculated powder XRD pattern in this record (Cu Kα, 1.54184 Å).
Kinematic intensities with the Lorentz-polarization factor, no thermal factor.

Largest 10 diffraction maxima, by intensity, 10 to 80 degrees two-theta:
(hkl)	2θ (°)	Rel. int.
1 1 0	14.9	100
0 0 2	22.1	61
2 2 -1	29.5	50
1 3 0	28.9	41
1 1 2	29.4	36
1 1 -1	16.4	21
3 1 -1	36.4	14
3 5 -1	57.9	10
0 0 4	45.0	10
4 2 -1	51.1	10

Structure:
Cell lengths 7.635, 10.212, 8.382 Å; angles 90.00, 105.93, 90.00 degrees
Element x y z (fractional)
V1 0.239 0.103 0.259
V2 0.239 0.397 0.759
V3 0.761 0.603 0.241
V4 0.761 0.897 0.741
P1 0.133 0.096 0.830
P2 0.133 0.404 0.330
P3 0.435 0.132 0.687
P4 0.435 0.368 0.187
P5 0.565 0.632 0.813
P6 0.565 0.868 0.313
P7 0.867 0.596 0.670
P8 0.867 0.904 0.170
H1 0.044 0.719 0.012
H2 0.044 0.781 0.512
H3 0.191 0.612 0.970
H4 0.191 0.888 0.470
H5 0.217 0.660 0.166
H6 0.217 0.840 0.666
H7 0.260 0.734 0.532
H8 0.260 0.766 0.032
H9 0.740 0.234 0.968
H10 0.740 0.266 0.468
H11 0.783 0.160 0.334
H12 0.783 0.340 0.834
H13 0.809 0.112 0.530
H14 0.809 0.388 0.030
H15 0.956 0.219 0.488
H16 0.956 0.281 0.988
N1 0.178 0.690 0.045
N2 0.178 0.810 0.545
N3 0.822 0.190 0.455
N4 0.822 0.310 0.955
O1 0.004 0.000 0.275
O2 0.004 0.500 0.775
O3 0.090 0.236 0.761
O4 0.090 0.264 0.261
O5 0.148 0.089 0.014
O6 0.148 0.411 0.514
O7 0.320 0.105 0.510
O8 0.320 0.395 0.010
O9 0.331 0.055 0.807
O10 0.331 0.445 0.307
O11 0.374 0.570 0.769
O12 0.374 0.930 0.269
O13 0.451 0.224 0.239
O14 0.451 0.276 0.739
O15 0.549 0.724 0.261
O16 0.549 0.776 0.761
O17 0.626 0.070 0.731
O18 0.626 0.430 0.231
O19 0.669 0.555 0.693
O20 0.669 0.945 0.193
O21 0.680 0.605 0.990
O22 0.680 0.895 0.490
O23 0.852 0.589 0.486
O24 0.852 0.911 0.986
O25 0.910 0.736 0.739
O26 0.910 0.764 0.239
O27 0.996 0.000 0.725
O28 0.996 0.500 0.225

=====

For VPH7N2O5, a crystal structure in the Materials Project, relaxed with PBE+U gives the calculated powder XRD pattern in this record (Cu Kα, 1.54184 Å).
Kinematic intensities with the Lorentz-polarization factor, no thermal factor.

Largest 10 diffraction maxima, by intensity, 10 to 80 degrees two-theta:
(hkl)	2θ (°)	Rel. int.
1 0 0	12.8	100
1 1 0	22.1	63
1 0 -2	24.3	61
0 0 1	10.3	54
1 1 2	30.6	54
0 0 2	20.7	39
2 1 0	31.6	35
0 2 0	36.2	23
1 0 1	16.6	20
1 1 -2	30.3	16

Structure:
Cell lengths 6.908, 4.959, 8.562 Å; angles 90.00, 90.95, 90.00 degrees
Element x y z (fractional)
V1 0.139 0.000 0.339
V2 0.861 0.500 0.661
P1 0.134 0.954 0.724
P2 0.866 0.454 0.276
H1 0.198 0.408 0.054
H2 0.252 0.464 0.489
H3 0.322 0.619 0.932
H4 0.330 0.282 0.906
H5 0.409 0.385 0.349
H6 0.415 0.227 0.519
H7 0.442 0.423 0.065
H8 0.558 0.923 0.935
H9 0.585 0.727 0.481
H10 0.591 0.885 0.651
H11 0.670 0.782 0.094
H12 0.678 0.119 0.068
H13 0.748 0.964 0.511
H14 0.802 0.908 0.946
N1 0.324 0.309 0.436
N2 0.324 0.434 0.990
N3 0.676 0.809 0.564
N4 0.676 0.934 0.010
O1 0.026 0.284 0.194
O2 0.083 0.257 0.722
O3 0.127 0.833 0.552
O4 0.319 0.862 0.246
O5 0.332 0.918 0.803
O6 0.668 0.418 0.197
O7 0.681 0.362 0.754
O8 0.873 0.333 0.448
O9 0.917 0.757 0.278
O10 0.974 0.784 0.806